This entry pairs a crystal structure of Rb3LiSn4 with its calculated XRD peak list. Radiation: Cu Kα X-rays. Structure: a crystal structure in Alexandria, relaxed with GGA-PBE.
No peak broadening, texture or thermal motion is included.

Main lines, in order of falling intensity (10 to 90 degrees two-theta):
2theta	I (rel.)	hkl
31.27	100	2 2 1
14.54	74	0 1 1
55.12	69	0 8 0
22.39	66	1 2 1
28.91	60	1 0 2
32.40	57	1 4 1
28.18	46	2 0 1
29.32	44	0 2 2

Atomic structure:
Cell: 7.1438 13.3305 6.8504 Å, 90.00 90.00 90.00°
Element x y z (fractional)
1 Rb 0.2500 0.0068 0.1689
2 Rb 0.2500 0.2500 0.5525
3 Rb 0.2500 0.4932 0.1689
4 Rb 0.7500 0.5068 0.8311
5 Rb 0.7500 0.7500 0.4475
6 Rb 0.7500 0.9932 0.8311
7 Li 0.2500 0.7500 0.3106
8 Li 0.7500 0.2500 0.6894
9 Sn 0.0298 0.7500 0.9565
10 Sn 0.2500 0.6349 0.6680
11 Sn 0.2500 0.8651 0.6680
12 Sn 0.4702 0.7500 0.9565
13 Sn 0.5298 0.2500 0.0435
14 Sn 0.7500 0.1349 0.3320
15 Sn 0.7500 0.3651 0.3320
16 Sn 0.9702 0.2500 0.0435